[1]
# SrMg14C
Calculated XRD peak list, λ = 1.5418 Å (Cu Kα). Input: DFT lattice parameters and positions (GGA-PBE).
No peak broadening, texture or thermal motion is included.

Most intense lines, 2θ from 5° to 70°, sorted by position:
two_theta, I/Imax, (hkl)
8.6, 17, 1 0 0
31.0, 19, 3 1 1
33.1, 37, 0 2 2
35.0, 100, 4 0 0
37.6, 77, 2 2 2
49.0, 20, 4 2 2

Structure:
a = 10.240 Å, b = 6.094 Å, c = 11.836 Å
α = 90.00°, β = 90.00°, γ = 90.00°
Space group Amm2 (No. 38)
One atom of each set of equivalent atoms:
Sr (0.000, 0.000, 0.000)
Mg (0.000, 0.231, 0.262)
Mg (0.199, 0.000, 0.618)
Mg (0.255, 0.244, 0.386)
Mg (0.266, 0.000, 0.144)
Mg (0.500, 0.000, 0.484)
Mg (0.500, 0.000, 0.974)
Mg (0.500, 0.245, 0.729)
C (0.000, 0.000, 0.414)


[2]
# Ca2ZnGa
Calculated XRD peak list, λ = 1.5418 Å (Cu Kα). Input: DFT lattice parameters and positions (GGA-PBE).
No peak broadening, texture or thermal motion is included.

Most intense lines, 2θ from 5° to 70°, sorted by position:
two_theta, I/Imax, (hkl)
24.2, 8, 2 0 0
34.5, 100, 2 2 0
42.6, 3, 2 2 2
49.6, 17, 4 0 0
55.9, 4, 4 2 0
61.8, 33, 4 2 2

Structure:
a = 7.350 Å, b = 7.350 Å, c = 7.350 Å
α = 90.00°, β = 90.00°, γ = 90.00°
Space group Fm-3m (No. 225)
One atom of each set of equivalent atoms:
Ca (0.250, 0.250, 0.250)
Zn (0.000, 0.000, 0.000)
Ga (0.000, 0.000, 0.500)


[3]
# ZnAg2P2O9
Calculated XRD peak list, λ = 1.5418 Å (Cu Kα). Input: DFT lattice parameters and positions (GGA-PBE).
No peak broadening, texture or thermal motion is included.

Most intense lines, 2θ from 5° to 70°, sorted by position:
two_theta, I/Imax, (hkl)
16.7, 53, 2 0 1
20.9, 42, 3 0 1
25.5, 100, 1 0 2
30.8, 84, 1 2 1
30.9, 82, 5 0 1
44.3, 40, 6 2 0

Structure:
a = 15.791 Å, b = 6.477 Å, c = 7.176 Å
α = 90.00°, β = 90.00°, γ = 90.00°
Space group Pnma (No. 62)
One atom of each set of equivalent atoms:
Zn (0.225, 0.250, 0.092)
Ag (0.000, 0.000, 0.000)
Ag (0.118, 0.250, 0.632)
P (0.078, 0.750, 0.621)
P (0.207, 0.750, 0.117)
O (0.019, 0.750, 0.455)
O (0.024, 0.750, 0.805)
O (0.056, 0.250, 0.883)
O (0.145, 0.573, 0.626)
O (0.157, 0.544, 0.113)
O (0.227, 0.250, 0.450)
O (0.237, 0.250, 0.800)


[4]
# Ho4Al
Calculated XRD peak list, λ = 1.5418 Å (Cu Kα). Input: DFT lattice parameters and positions (GGA-PBE).
No peak broadening, texture or thermal motion is included.

Most intense lines, 2θ from 5° to 70°, sorted by position:
two_theta, I/Imax, (hkl)
27.8, 100, 2 2 2
32.2, 44, 4 0 0
35.2, 16, 3 3 1
42.3, 26, 3 3 3
46.2, 31, 4 4 0
54.8, 28, 6 2 2

Structure:
a = 11.108 Å, b = 11.108 Å, c = 11.108 Å
α = 90.00°, β = 90.00°, γ = 90.00°
Space group Fd-3m (No. 227, origin choice 2)
One atom of each set of equivalent atoms:
Ho (0.019, 0.019, 0.231)
Al (0.125, 0.125, 0.625)


[5]
# Np2Se5
Calculated XRD peak list, λ = 1.5418 Å (Cu Kα). Input: DFT lattice parameters and positions (GGA-PBE).
No peak broadening, texture or thermal motion is included.

Most intense lines, 2θ from 5° to 70°, sorted by position:
two_theta, I/Imax, (hkl)
23.0, 40, 2 0 0
23.2, 48, 1 1 2
32.8, 37, 2 2 0
37.3, 24, 1 1 4
40.5, 100, 3 1 2
40.9, 26, 2 0 4

Structure:
a = 7.725 Å, b = 7.742 Å, c = 10.729 Å
α = 90.00°, β = 90.00°, γ = 90.00°
Space group Ccce (No. 68, origin choice 2)
One atom of each set of equivalent atoms:
Np (0.250, 0.000, 0.151)
Se (0.000, 0.250, 0.250)
Se (0.122, 0.128, 0.897)


[6]
# TaSnRu2
Calculated XRD peak list, λ = 1.5418 Å (Cu Kα). Input: DFT lattice parameters and positions (GGA-PBE).
No peak broadening, texture or thermal motion is included.

Most intense lines, 2θ from 5° to 70°, sorted by position:
two_theta, I/Imax, (hkl)
24.1, 3, 1 1 1
27.9, 4, 2 0 0
39.9, 100, 2 2 0
47.2, 2, 3 1 1
57.7, 17, 4 0 0
65.3, 2, 4 2 0

Structure:
a = 6.387 Å, b = 6.387 Å, c = 6.387 Å
α = 90.00°, β = 90.00°, γ = 90.00°
Space group Fm-3m (No. 225)
One atom of each set of equivalent atoms:
Ta (0.000, 0.000, 0.000)
Sn (0.000, 0.000, 0.500)
Ru (0.250, 0.250, 0.250)


[7]
# Li3BiS3
Calculated XRD peak list, λ = 1.5418 Å (Cu Kα). Input: DFT lattice parameters and positions (GGA-PBE).
No peak broadening, texture or thermal motion is included.

Most intense lines, 2θ from 5° to 70°, sorted by position:
two_theta, I/Imax, (hkl)
16.2, 100, 1 1 0
23.6, 51, 0 1 2
28.3, 27, 3 0 0
32.8, 27, 2 2 0
33.2, 71, 1 2 2
51.3, 21, 2 1 4

Structure:
a = 10.9261 Å, b = 10.9261 Å, c = 8.2076 Å
α = 90.00°, β = 90.00°, γ = 120.00°
Space group R3c (No. 161, hexagonal axes)
One atom of each set of equivalent atoms:
Li (0.0086, 0.3935, 0.0000)
Bi (0.0000, 0.0000, 0.4254)
S (0.0929, 0.5401, 0.7435)


[8]
# HoAlNi4
Calculated XRD peak list, λ = 1.5418 Å (Cu Kα). Input: DFT lattice parameters and positions (GGA-PBE).
No peak broadening, texture or thermal motion is included.

Most intense lines, 2θ from 5° to 70°, sorted by position:
two_theta, I/Imax, (hkl)
31.0, 82, 1 0 1
35.8, 30, 1 1 0
41.6, 53, 2 0 0
43.0, 100, 1 1 1
47.2, 25, 0 0 2
64.7, 27, 2 0 2

Structure:
a = 5.0193 Å, b = 5.0193 Å, c = 3.8520 Å
α = 90.00°, β = 90.00°, γ = 120.00°
Space group P-6m2 (No. 187)
One atom of each set of equivalent atoms:
Ho (0.0000, 0.0000, 0.0000)
Al (0.3333, 0.6667, 0.0000)
Ni (0.5018, 0.0035, 0.5000)
Ni (0.6667, 0.3333, 0.0000)